For BeCrGe, the PBE geometry in Alexandria gives the theoretical X-ray diffraction stick pattern in this record (Cu Kα X-rays).
Intensities are scaled so that the largest is 100.

The 8 most intense peaks (2θ = 10–90°), low angle first:
2θ (°), I/Imax
22.2, 28
32.2, 68
42.6, 36
43.8, 20
45.8, 100
49.0, 18
62.7, 13
80.2, 18

Structural model:
Unit cell a=4.2446 b=4.1352 c=8.0048 alpha=90.00 beta=90.00 gamma=90.00
Fractional coordinates of all 12 atoms:
Be: 0.2500 0.1875 0.0000
Be: 0.2500 0.6875 0.5000
Be: 0.7500 0.3125 0.5000
Be: 0.7500 0.8125 0.0000
Cr: 0.2500 0.1912 0.3517
Cr: 0.2500 0.6912 0.8517
Cr: 0.7500 0.3088 0.8517
Cr: 0.7500 0.8088 0.3517
Ge: 0.2500 0.2002 0.6705
Ge: 0.2500 0.7002 0.1705
Ge: 0.7500 0.2998 0.1705
Ge: 0.7500 0.7998 0.6705

For Dy3TmPd3, the PBE geometry in Alexandria gives the theoretical X-ray diffraction stick pattern in this record (Cu Kα X-rays).
Intensities are scaled so that the largest is 100.

The 8 most intense peaks (2θ = 10–90°), low angle first:
2θ (°), I/Imax
28.0, 26
30.5, 58
32.6, 91
34.4, 59
35.9, 100
37.9, 39
39.4, 24
54.8, 29

Structural model:
Unit cell a=6.9346 b=6.9346 c=7.0835 alpha=91.51 beta=91.51 gamma=97.33
Fractional coordinates of all 14 atoms:
Dy: 0.1760 0.8240 0.0000
Dy: 0.2524 0.7476 0.5000
Dy: 0.3480 0.3480 0.1343
Dy: 0.6520 0.6520 0.8657
Dy: 0.7476 0.2524 0.5000
Dy: 0.8240 0.1760 0.0000
Tm: 0.2601 0.2601 0.6239
Tm: 0.7399 0.7399 0.3761
Pd: 0.0174 0.5006 0.7800
Pd: 0.0621 0.0621 0.3093
Pd: 0.4994 0.9826 0.2200
Pd: 0.5006 0.0174 0.7800
Pd: 0.9379 0.9379 0.6907
Pd: 0.9826 0.4994 0.2200

For CsSn5Au6, the PBE geometry in Alexandria gives the theoretical X-ray diffraction stick pattern in this record (Cu Kα X-rays).
Intensities are scaled so that the largest is 100.

The 8 most intense peaks (2θ = 10–90°), low angle first:
2θ (°), I/Imax
15.9, 27
20.6, 45
26.8, 100
35.0, 92
38.1, 61
41.0, 80
41.8, 29
42.3, 32

Structural model:
Unit cell a=6.9268 b=6.9268 c=7.4898 alpha=101.94 beta=101.94 gamma=100.19
Fractional coordinates of all 12 atoms:
Cs: 0.0000 0.0000 0.0000
Sn: 0.0011 0.9989 0.5000
Sn: 0.3452 0.6548 0.5000
Sn: 0.3575 0.6425 0.0000
Sn: 0.6427 0.3573 0.0000
Sn: 0.6553 0.3447 0.5000
Au: 0.0313 0.5937 0.1991
Au: 0.3202 0.3200 0.6509
Au: 0.4063 0.9687 0.8009
Au: 0.5933 0.0310 0.1988
Au: 0.6800 0.6798 0.3491
Au: 0.9690 0.4067 0.8012

For Ce6Pr, the PBE geometry in Alexandria gives the theoretical X-ray diffraction stick pattern in this record (Cu Kα X-rays).
Intensities are scaled so that the largest is 100.

The 8 most intense peaks (2θ = 10–90°), low angle first:
2θ (°), I/Imax
16.4, 20
23.3, 42
28.6, 100
40.9, 35
44.4, 61
47.6, 33
69.6, 21
76.9, 18

Structural model:
Unit cell a=7.6405 b=7.6405 c=7.6405 alpha=90.00 beta=90.00 gamma=90.00
Fractional coordinates of all 14 atoms:
Ce: 0.0000 0.2500 0.5000
Ce: 0.0000 0.5000 0.2500
Ce: 0.0000 0.5000 0.7500
Ce: 0.0000 0.7500 0.5000
Ce: 0.2500 0.0000 0.5000
Ce: 0.2500 0.5000 0.0000
Ce: 0.5000 0.0000 0.2500
Ce: 0.5000 0.0000 0.7500
Ce: 0.5000 0.2500 0.0000
Ce: 0.5000 0.7500 0.0000
Ce: 0.7500 0.0000 0.5000
Ce: 0.7500 0.5000 0.0000
Pr: 0.0000 0.0000 0.0000
Pr: 0.5000 0.5000 0.5000